This entry pairs a crystal structure of RbHg3F6 with its computed XRD peak list. Radiation: Cu Kα (weighted mean of Kα1 and Kα2). Structure: a GGA-PBE-relaxed structure.
Peak positions follow from Bragg's law for the DFT cell and can differ from measured ones.

Atomic structure:
Unit cell a=6.350 b=6.356 c=6.568 alpha=90.02 beta=118.91 gamma=119.96
Element x y z (fractional)
Rb 0.000 0.000 0.000
Hg 0.049 0.524 0.573
Hg 0.461 0.230 0.692
Hg 0.481 0.740 0.220
F 0.310 0.839 0.433
F 0.352 0.940 0.905
F 0.495 0.553 0.907
F 0.591 0.467 0.432
F 0.964 0.124 0.431
F 0.966 0.412 0.905

Most intense lines, 10° ≤ 2θ ≤ 80°, most intense first:
2θ = 28.1°, intensity 100.0
2θ = 27.2°, intensity 96.9
2θ = 39.5°, intensity 45.2
2θ = 49.2°, intensity 42.8
2θ = 49.7°, intensity 29.2
2θ = 43.8°, intensity 28.8
2θ = 19.4°, intensity 23.6
2θ = 65.3°, intensity 16.7
2θ = 58.1°, intensity 15.5
2θ = 47.5°, intensity 12.4